The following is a computed powder XRD pattern of Tl2CrOF5. It was derived from a crystal structure in Alexandria, relaxed with GGA+U, using a wavelength of 1.5418 Å.
No peak broadening, texture or thermal motion is included.

Cell and atoms:
Lattice parameters (Å, degrees): 6.159 6.159 8.578 90.00 90.00 90.00
Space group I4mm (No. 107)
One atom of each set of equivalent atoms:
Tl 0.000 0.500 0.000 x4
Cr 0.000 0.000 0.248 x2
O 0.000 0.000 0.438 x2
F 0.000 0.000 0.024 x2
F 0.215 0.215 0.228 x8

Main lines, in order of rising 2θ (2θ from 10° to 90°):
two_theta	intensity	hkl
20.4	59	1 1 0
20.7	28	0 0 2
29.0	49	2 0 0
29.2	100	1 1 2
35.9	64	2 0 2
41.5	33	2 2 0
46.6	16	3 1 0
51.5	40	3 1 2
52.0	19	2 0 4
60.6	19	2 2 4